[1]
Diffraction record for LaPrO. The XRD peak list is simulated, not measured: it uses DFT lattice parameters and positions (GGA-PBE) and Cu Kα.

Most intense lines, 2θ = 5–70°, low angle first:
| 2θ/deg | I_rel |
| --- | --- |
| 28.67 | 30 |
| 29.06 | 100 |
| 33.57 | 84 |
| 47.95 | 25 |
| 48.46 | 31 |
| 57.28 | 27 |

Structure:
Unit cell a=6.5942 b=6.5942 c=6.5942 alpha=33.10 beta=33.10 gamma=33.10
Atoms (fractional coordinates):
La1 0.0000 0.0000 0.0000
Pr1 0.4800 0.4800 0.4800
O1 0.7383 0.7383 0.7383


[2]
Diffraction record for Ac3Tb2Pr5. The XRD peak list is simulated, not measured: it uses DFT lattice parameters and positions (GGA-PBE) and Cu Kα.

Most intense lines, 2θ = 5–70°, low angle first:
| 2θ/deg | I_rel |
| --- | --- |
| 27.56 | 81 |
| 28.12 | 87 |
| 30.08 | 100 |
| 30.35 | 87 |
| 30.70 | 53 |
| 32.10 | 88 |

Structure:
Unit cell a=9.3850 b=9.3850 c=10.6093 alpha=107.45 beta=107.45 gamma=107.07
Atoms (fractional coordinates):
Ac1 0.0074 0.9926 0.7500
Ac2 0.2213 0.4731 0.4476
Ac3 0.4731 0.2213 0.9476
Ac4 0.5269 0.7787 0.0524
Ac5 0.7787 0.5269 0.5524
Ac6 0.9926 0.0074 0.2500
Tb1 0.0280 0.3011 0.0639
Tb2 0.3011 0.0280 0.5639
Tb3 0.6989 0.9720 0.4361
Tb4 0.9720 0.6989 0.9361
Pr1 0.1304 0.3892 0.7614
Pr2 0.2279 0.7721 0.7500
Pr3 0.2593 0.7407 0.2500
Pr4 0.3892 0.1304 0.2614
Pr5 0.4734 0.5266 0.2500
Pr6 0.5266 0.4734 0.7500
Pr7 0.6108 0.8696 0.7386
Pr8 0.7407 0.2593 0.7500
Pr9 0.7721 0.2279 0.2500
Pr10 0.8696 0.6108 0.2386